Diffraction record for La3TlN. The powder XRD pattern is theoretical, not measured: it uses a structure optimized by DFT (GGA-PBE) and Cu Kα.
Lines closer than 0.1° are merged.

Cell lengths 7.1984, 7.1984, 6.1588 Å; angles 90.00, 90.00, 120.00 degrees
Space group P6_3/m (No. 176)
One atom of each set of equivalent atoms:
La1 0.1572 0.3243 0.2500
Tl1 0.3333 0.6667 0.7500
N1 0.0000 0.0000 0.0000

Most intense lines, 15° ≤ 2θ ≤ 90°, most intense first:
two_theta  d [Å]  intensity
32.19  2.781  100
29.00  3.079  28
53.44  1.714  24
59.49  1.554  22
28.64  3.117  21
50.73  1.800  19
41.21  2.191  18
61.36  1.511  16
83.55  1.157  13
82.44  1.170  9


Diffraction record for La4Tl2N. The powder XRD pattern is theoretical, not measured: it uses a structure optimized by DFT (GGA-PBE) and Cu Kα.
Lines closer than 0.1° are merged.

Cell lengths 6.8559, 7.1779, 9.7032 Å; angles 90.00, 110.43, 90.00 degrees
Space group P2_1/m (No. 11)
One atom of each set of equivalent atoms:
La1 0.0220 0.0005 0.2751
La2 0.3744 0.2500 0.0487
La3 0.4250 0.2500 0.6533
Tl1 0.1858 0.7500 0.0306
Tl2 0.3104 0.7500 0.5898
N1 0.2082 0.2500 0.7947

Most intense lines, 15° ≤ 2θ ≤ 90°, most intense first:
two_theta  d [Å]  intensity
31.78  2.815  100
27.86  3.203  48
28.49  3.133  39
27.71  3.219  31
30.46  2.935  26
30.56  2.925  24
47.44  1.917  24
37.58  2.393  23
37.06  2.426  22
58.97  1.566  21


Diffraction record for La4TmU3N8. The powder XRD pattern is theoretical, not measured: it uses a structure optimized by DFT (GGA-PBE) and Cu Kα.
Lines closer than 0.1° are merged.

Cell lengths 7.0492, 7.0492, 17.8003 Å; angles 90.00, 90.00, 120.00 degrees
Space group R-3m (No. 166, hexagonal axes)
One atom of each set of equivalent atoms:
La1 0.0000 0.0000 0.0000
La2 0.0000 0.5000 0.0000
Tm1 0.0000 0.0000 0.5000
U1 0.0000 0.5000 0.5000
N1 0.0000 0.0000 0.2324
N2 0.0137 0.5068 0.7673

Most intense lines, 15° ≤ 2θ ≤ 90°, most intense first:
two_theta  d [Å]  intensity
30.97  2.887  100
35.67  2.517  93
30.12  2.967  37
50.78  1.798  33
51.88  1.762  32
61.17  1.515  32
60.18  1.538  17
64.55  1.444  16
61.66  1.504  15
87.31  1.117  15


Diffraction record for La5UN4. The powder XRD pattern is theoretical, not measured: it uses a structure optimized by DFT (GGA-PBE) and Cu Kα.
Lines closer than 0.1° are merged.

Cell lengths 16.0699, 3.6130, 7.4561 Å; angles 90.00, 101.12, 90.00 degrees
Space group C2/m (No. 12)
One atom of each set of equivalent atoms:
La1 0.0000 0.0000 0.0000
La2 0.1536 0.5000 0.8084
La3 0.1669 0.5000 0.3428
U1 0.0000 0.0000 0.5000
N1 0.0038 0.5000 0.2981
N2 0.1448 0.0000 0.5679

Most intense lines, 15° ≤ 2θ ≤ 90°, most intense first:
two_theta  d [Å]  intensity
29.99  2.980  100
34.59  2.593  57
28.82  3.098  35
34.12  2.628  28
50.10  1.821  20
48.64  1.872  18
59.12  1.563  15
62.38  1.489  12
59.85  1.545  10
50.52  1.806  10


Diffraction record for LaVN2. The powder XRD pattern is theoretical, not measured: it uses a structure optimized by DFT (GGA-PBE) and Cu Kα.
Lines closer than 0.1° are merged.

Cell lengths 5.6038, 5.6038, 6.6463 Å; angles 90.00, 90.00, 120.00 degrees
Space group P3_121 (No. 152)
One atom of each set of equivalent atoms:
La1 0.0000 0.6576 0.1667
V1 0.0000 0.6032 0.6667
N1 0.1382 0.4622 0.8578

Most intense lines, 15° ≤ 2θ ≤ 90°, most intense first:
two_theta  d [Å]  intensity
32.66  2.742  100
31.94  2.802  98
22.69  3.919  51
46.33  1.960  48
57.38  1.606  36
39.54  2.279  28
58.74  1.572  19
51.70  1.768  17
56.92  1.618  16
77.52  1.231  15


Diffraction record for La2WN3. The powder XRD pattern is theoretical, not measured: it uses a structure optimized by DFT (GGA-PBE) and Cu Kα.
Lines closer than 0.1° are merged.

Cell lengths 3.6261, 4.0418, 13.0711 Å; angles 90.00, 90.00, 90.00 degrees
Space group Immm (No. 71)
One atom of each set of equivalent atoms:
La1 0.0000 0.0000 0.1468
W1 0.0000 0.0000 0.5000
N1 0.0000 0.0000 0.3447
N2 0.0000 0.5000 0.5000

Most intense lines, 15° ≤ 2θ ≤ 90°, most intense first:
two_theta  d [Å]  intensity
33.19  2.699  100
30.16  2.963  91
32.11  2.787  89
56.23  1.636  42
54.10  1.695  36
59.80  1.547  28
44.85  2.021  24
41.45  2.179  22
69.70  1.349  17
50.33  1.813  17


Diffraction record for La3W2N6. The powder XRD pattern is theoretical, not measured: it uses a structure optimized by DFT (GGA-PBE) and Cu Kα.
Lines closer than 0.1° are merged.

Cell lengths 4.0253, 4.0253, 20.0220 Å; angles 90.00, 90.00, 90.00 degrees
Space group I4/mmm (No. 139)
One atom of each set of equivalent atoms:
La1 0.0000 0.0000 0.0000
La2 0.0000 0.0000 0.1810
W1 0.0000 0.0000 0.4011
N1 0.0000 0.0000 0.3041
N2 0.0000 0.5000 0.0873

Most intense lines, 15° ≤ 2θ ≤ 90°, most intense first:
two_theta  d [Å]  intensity
31.48  2.842  100
56.01  1.642  26
45.04  2.013  18
74.57  1.273  12
56.17  1.638  9
65.79  1.419  7
17.72  5.006  7
65.60  1.423  6
45.29  2.002  5
46.65  1.947  5


Diffraction record for La4WN5. The powder XRD pattern is theoretical, not measured: it uses a structure optimized by DFT (GGA-PBE) and Cu Kα.
Lines closer than 0.1° are merged.

Cell lengths 7.8958, 7.8958, 5.3579 Å; angles 90.00, 90.00, 90.00 degrees
Space group I4 (No. 79)
One atom of each set of equivalent atoms:
La1 0.1087 0.6940 0.0000
W1 0.0000 0.0000 0.5641
N1 0.0000 0.0000 0.9103
N2 0.0866 0.7499 0.5014

Most intense lines, 15° ≤ 2θ ≤ 90°, most intense first:
two_theta  d [Å]  intensity
30.31  2.948  100
35.97  2.497  44
49.93  1.827  30
61.19  1.515  29
33.45  2.679  25
57.86  1.594  15
51.78  1.766  15
63.06  1.474  14
81.33  1.183  11
20.03  4.434  6